Calculated XRD peak list of Sr4CaFe5O15 for a wavelength of 1.5418 Å, from a structure optimized by DFT (GGA+U).

Main lines, low angle first (15 to 90 degrees two-theta):
2θ (°)	Rel. int.	(hkl)
32.46	100	2 1 1
40.04	12	1 3 1
46.57	40	4 2 0
57.91	37	5 0 1
67.98	23	4 2 2
77.27	5	2 1 3
77.42	11	7 1 0
81.83	1	1 3 3
81.97	2	7 1 1
86.42	7	2 6 2

Structure:
```
25
Lattice="8.716 0.000 0.000 0.000 8.716 0.000 0.000 0.000 3.905" Properties=species:S:1:pos:R:3 pbc="T T T"
Sr 0.877 2.619 0.000
Sr 2.619 7.839 0.000
Sr 6.097 0.877 0.000
Sr 7.839 6.097 0.000
Ca 4.358 4.358 0.000
Fe 0.000 0.000 1.953
Fe 1.758 5.225 1.953
Fe 3.491 1.758 1.953
Fe 5.225 6.958 1.953
Fe 6.958 3.491 1.953
O 0.000 0.000 0.000
O 0.000 4.358 1.953
O 0.891 6.970 1.953
O 1.746 0.891 1.953
O 1.788 5.213 0.000
O 2.648 3.506 1.953
O 3.503 1.788 0.000
O 3.506 6.068 1.953
O 4.358 0.000 1.953
O 5.210 2.648 1.953
O 5.213 6.928 0.000
O 6.068 5.210 1.953
O 6.928 3.503 0.000
O 6.970 7.825 1.953
O 7.825 1.746 1.953
```